Diffraction record for Co2GeS4. The XRD peak list is simulated, not measured: it uses a DFT-relaxed cell (GGA-PBE, Alexandria) and Cu Kα.

Structural model:
Cell: 6.2411 6.2411 11.6449 Å, 90.00 90.00 90.00°
Space group I4_1/a (No. 88, origin choice 2)
One atom of each set of equivalent atoms:
1 Co 0.0000 0.0000 0.0000
2 Ge 0.0000 0.2500 0.6250
3 S 0.1597 0.0476 0.8332

Largest 10 diffraction maxima, by angle, 15° ≤ 2θ ≤ 90°:
- 2θ 25.3, rel. 16.2
- 2θ 27.1, rel. 26.9
- 2θ 32.6, rel. 32.9
- 2θ 33.0, rel. 100.0
- 2θ 37.0, rel. 15.6
- 2θ 41.4, rel. 30.2
- 2θ 48.7, rel. 24.0
- 2θ 49.7, rel. 24.6
- 2θ 52.0, rel. 32.9
- 2θ 53.5, rel. 15.3

Diffraction record for YbI3O11. The XRD peak list is simulated, not measured: it uses a DFT-relaxed cell (GGA-PBE, Alexandria) and Cu Kα.

Structural model:
Cell: 7.5041 7.5715 9.1699 Å, 95.87 95.37 117.29°
Space group P-1 (No. 2)
One atom of each set of equivalent atoms:
1 Yb 0.1238 0.2621 0.1474
2 I 0.2492 0.8621 0.1917
3 I 0.3088 0.5956 0.8366
4 I 0.4456 0.2713 0.5153
5 O 0.0036 0.8601 0.6334
6 O 0.0419 0.9054 0.1002
7 O 0.0814 0.6128 0.2314
8 O 0.2043 0.2506 0.5726
9 O 0.2101 0.7747 0.8785
10 O 0.2381 0.0172 0.3710
11 O 0.2934 0.5162 0.0201
12 O 0.3489 0.7141 0.5818
13 O 0.4013 0.4534 0.3662
14 O 0.4183 0.2152 0.1166
15 O 0.4863 0.1527 0.6698

Largest 10 diffraction maxima, by angle, 15° ≤ 2θ ≤ 90°:
- 2θ 15.4, rel. 100.0
- 2θ 23.3, rel. 32.4
- 2θ 25.7, rel. 36.8
- 2θ 26.5, rel. 33.6
- 2θ 26.6, rel. 27.6
- 2θ 26.9, rel. 32.1
- 2θ 29.5, rel. 70.0
- 2θ 29.8, rel. 59.7
- 2θ 30.4, rel. 34.8
- 2θ 31.0, rel. 33.4

Diffraction record for Tb2SmHo6Tm3. The XRD peak list is simulated, not measured: it uses a DFT-relaxed cell (GGA-PBE, Alexandria) and Cu Kα.

Structural model:
Cell: 6.1149 10.5777 11.6888 Å, 90.00 99.99 90.00°
Space group C2/m (No. 12)
One atom of each set of equivalent atoms:
1 Tb 0.0000 0.1667 0.0000
2 Sm 0.0000 0.5000 0.0000
3 Ho 0.2481 0.1668 0.7473
4 Ho 0.2486 0.5000 0.7473
5 Tm 0.0000 0.0000 0.5000
6 Tm 0.0000 0.3332 0.5000

Largest 10 diffraction maxima, by angle, 15° ≤ 2θ ≤ 90°:
- 2θ 31.1, rel. 100.0
- 2θ 36.0, rel. 50.6
- 2θ 51.8, rel. 35.9
- 2θ 61.7, rel. 28.5
- 2θ 61.7, rel. 14.2
- 2θ 64.7, rel. 12.3
- 2θ 84.7, rel. 13.4
- 2θ 84.8, rel. 4.4
- 2θ 87.4, rel. 8.4
- 2θ 87.5, rel. 8.3

Diffraction record for Ca2NdTl9. The XRD peak list is simulated, not measured: it uses a DFT-relaxed cell (GGA-PBE, Alexandria) and Cu Kα.

Structural model:
Cell: 4.8482 4.8482 14.5710 Å, 90.00 90.00 90.00°
Space group P4/mmm (No. 123)
One atom of each set of equivalent atoms:
1 Ca 0.0000 0.0000 0.1682
2 Nd 0.0000 0.0000 0.5000
3 Tl 0.0000 0.5000 0.0000
4 Tl 0.0000 0.5000 0.3331
5 Tl 0.5000 0.5000 0.1668
6 Tl 0.5000 0.5000 0.5000

Largest 10 diffraction maxima, by angle, 15° ≤ 2θ ≤ 90°:
- 2θ 18.3, rel. 9.3
- 2θ 26.0, rel. 8.2
- 2θ 32.0, rel. 100.0
- 2θ 37.1, rel. 50.6
- 2θ 41.6, rel. 5.0
- 2θ 53.4, rel. 35.8
- 2θ 63.6, rel. 42.5
- 2θ 66.8, rel. 12.2
- 2θ 79.0, rel. 3.9
- 2θ 87.7, rel. 18.4